(1)
This entry pairs a crystal structure of Sr6In3Ag with its theoretical powder XRD pattern. Radiation: CuKα. Structure: a structure optimized by DFT (GGA-PBE).

Atomic structure:
Cell lengths 10.067, 5.757, 13.290 Å; angles 90.00, 111.31, 90.00 degrees
Space group P2_1/m (No. 11)
Symmetry-distinct sites (fractional):
Sr (0.018, 0.250, 0.415) (multiplicity 2)
Sr (0.171, 0.750, 0.161) (multiplicity 2)
Sr (0.253, 0.250, 0.998) (multiplicity 2)
Sr (0.342, 0.750, 0.830) (multiplicity 2)
Sr (0.368, 0.250, 0.358) (multiplicity 2)
Sr (0.375, 0.250, 0.643) (multiplicity 2)
In (0.018, 0.750, 0.864) (multiplicity 2)
In (0.079, 0.250, 0.721) (multiplicity 2)
In (0.261, 0.750, 0.470) (multiplicity 2)
Ag (0.459, 0.750, 0.096) (multiplicity 2)

Peak list (12 most intense, 2θ from 10° to 90°, sorted by position)
27.75 deg, I 15.4, hkl 2 1 -3
28.19 deg, I 17.6, hkl 2 0 -4
30.85 deg, I 71.0, hkl 1 1 3
31.04 deg, I 100.0, hkl 0 2 0
31.11 deg, I 14.7, hkl 3 1 -2
32.27 deg, I 23.8, hkl 2 1 -4
42.44 deg, I 11.5, hkl 2 2 -4
55.13 deg, I 14.9, hkl 1 3 3
55.25 deg, I 14.4, hkl 3 3 -1
56.65 deg, I 7.7, hkl 4 2 2
59.02 deg, I 9.5, hkl 1 2 -7
64.78 deg, I 7.2, hkl 0 4 0

(2)
This entry pairs a crystal structure of Sr2In5Ag5 with its theoretical powder XRD pattern. Radiation: CuKα. Structure: a structure optimized by DFT (GGA-PBE).

Atomic structure:
Cell lengths 4.707, 5.935, 10.732 Å; angles 90.00, 90.00, 90.00 degrees
Space group Pmmm (No. 47)
Symmetry-distinct sites (fractional):
Sr (0.000, 0.000, 0.000) (multiplicity 1)
Sr (0.000, 0.500, 0.500) (multiplicity 1)
In (0.000, 0.000, 0.318) (multiplicity 2)
In (0.000, 0.500, 0.164) (multiplicity 2)
In (0.500, 0.000, 0.500) (multiplicity 1)
Ag (0.500, 0.250, 0.243) (multiplicity 4)
Ag (0.500, 0.500, 0.000) (multiplicity 1)

Peak list (12 most intense, 2θ from 10° to 90°, sorted by position)
16.52 deg, I 20.2, hkl 0 0 2
17.07 deg, I 28.8, hkl 0 1 1
33.40 deg, I 18.1, hkl 0 0 4
34.54 deg, I 24.1, hkl 0 2 2
34.94 deg, I 100.0, hkl 1 1 3
35.77 deg, I 47.1, hkl 1 2 0
38.24 deg, I 45.7, hkl 2 0 0
38.63 deg, I 21.8, hkl 1 0 4
39.64 deg, I 55.1, hkl 1 2 2
56.65 deg, I 23.9, hkl 1 3 3
60.43 deg, I 24.1, hkl 0 2 6
73.80 deg, I 22.9, hkl 2 2 6

(3)
This entry pairs a crystal structure of SrIn8Ag4 with its theoretical powder XRD pattern. Radiation: CuKα. Structure: a structure optimized by DFT (GGA-PBE).

Atomic structure:
Cell lengths 10.249, 10.249, 5.890 Å; angles 90.00, 90.00, 90.00 degrees
Space group I4/mmm (No. 139)
Symmetry-distinct sites (fractional):
Sr (0.000, 0.000, 0.000) (multiplicity 2)
In (0.000, 0.215, 0.500) (multiplicity 8)
In (0.000, 0.348, 0.000) (multiplicity 8)
Ag (0.250, 0.250, 0.250) (multiplicity 8)

Peak list (12 most intense, 2θ from 10° to 90°, sorted by position)
17.33 deg, I 13.1, hkl 2 0 0
30.24 deg, I 26.5, hkl 3 0 1
30.35 deg, I 10.3, hkl 0 0 2
35.04 deg, I 100.0, hkl 4 0 0
35.15 deg, I 43.6, hkl 2 0 2
39.33 deg, I 51.7, hkl 4 2 0
39.43 deg, I 54.0, hkl 2 2 2
57.01 deg, I 14.1, hkl 3 2 3
59.90 deg, I 10.5, hkl 5 4 1
62.87 deg, I 34.5, hkl 6 0 2
74.04 deg, I 12.3, hkl 8 0 0
74.29 deg, I 8.4, hkl 4 0 4

(4)
This entry pairs a crystal structure of Sr4InAg2 with its theoretical powder XRD pattern. Radiation: CuKα. Structure: a structure optimized by DFT (GGA-PBE).

Atomic structure:
Cell lengths 5.6409, 5.6409, 27.1010 Å; angles 90.00, 90.00, 120.00 degrees
Space group R-3m (No. 166, hexagonal axes)
Symmetry-distinct sites (fractional):
Sr (0.0000, 0.0000, 0.1236) (multiplicity 6)
Sr (0.0000, 0.0000, 0.3742) (multiplicity 6)
In (0.0000, 0.0000, 0.5000) (multiplicity 3)
Ag (0.0000, 0.0000, 0.2494) (multiplicity 6)

Peak list (12 most intense, 2θ from 10° to 90°, sorted by position)
18.45 deg, I 10.3, hkl 1 0 1
19.31 deg, I 8.2, hkl 0 1 2
31.73 deg, I 100.0, hkl 1 1 0
32.15 deg, I 96.3, hkl 0 1 8
45.80 deg, I 35.2, hkl 2 0 8
56.51 deg, I 18.5, hkl 3 0 0
56.79 deg, I 36.5, hkl 1 2 8
57.59 deg, I 18.3, hkl 1 0 16
66.28 deg, I 11.4, hkl 2 2 0
67.26 deg, I 11.4, hkl 0 2 16
75.59 deg, I 15.5, hkl 3 1 8
76.29 deg, I 15.1, hkl 2 1 16

(5)
This entry pairs a crystal structure of SrIn4Ag6 with its theoretical powder XRD pattern. Radiation: CuKα. Structure: a structure optimized by DFT (GGA-PBE).

Atomic structure:
Cell lengths 7.8454, 7.8454, 4.7222 Å; angles 90.00, 90.00, 120.00 degrees
Space group P-6 (No. 174)
Symmetry-distinct sites (fractional):
Sr (0.0000, 0.0000, 0.0000) (multiplicity 1)
In (0.1269, 0.7313, 0.5000) (multiplicity 3)
In (0.6667, 0.3333, 0.0000) (multiplicity 1)
Ag (0.0964, 0.4877, 0.0000) (multiplicity 3)
Ag (0.4202, 0.1388, 0.5000) (multiplicity 3)

Peak list (12 most intense, 2θ from 10° to 90°, sorted by position)
13.03 deg, I 19.8, hkl 1 0 0
29.61 deg, I 32.9, hkl 1 1 1
32.47 deg, I 25.8, hkl 2 0 1
34.94 deg, I 35.5, hkl 2 1 0
38.11 deg, I 32.2, hkl 0 0 2
39.96 deg, I 100.0, hkl 2 1 1
52.66 deg, I 21.1, hkl 2 1 2
62.66 deg, I 18.4, hkl 1 4 0
70.12 deg, I 17.7, hkl 2 1 3
75.76 deg, I 20.9, hkl 1 4 2
76.95 deg, I 10.7, hkl 4 2 1
81.51 deg, I 5.6, hkl 0 0 4

(6)
This entry pairs a crystal structure of SrIn6Ag2 with its theoretical powder XRD pattern. Radiation: CuKα. Structure: a structure optimized by DFT (GGA-PBE).

Atomic structure:
Cell lengths 4.579, 4.579, 11.372 Å; angles 90.00, 90.00, 90.00 degrees
Space group P4/mmm (No. 123)
Symmetry-distinct sites (fractional):
Sr (0.000, 0.000, 0.000) (multiplicity 1)
In (0.000, 0.000, 0.500) (multiplicity 1)
In (0.000, 0.500, 0.278) (multiplicity 4)
In (0.500, 0.500, 0.500) (multiplicity 1)
Ag (0.500, 0.500, 0.120) (multiplicity 2)

Peak list (12 most intense, 2θ from 10° to 90°, sorted by position)
30.62 deg, I 9.8, hkl 1 0 3
31.47 deg, I 8.8, hkl 0 0 4
31.80 deg, I 100.0, hkl 1 1 2
36.49 deg, I 31.5, hkl 1 1 3
37.23 deg, I 10.5, hkl 1 0 4
39.35 deg, I 47.5, hkl 2 0 0
39.63 deg, I 10.8, hkl 0 0 5
51.23 deg, I 8.7, hkl 2 0 4
56.87 deg, I 15.6, hkl 2 2 0
57.08 deg, I 14.3, hkl 2 0 5
66.64 deg, I 22.4, hkl 3 1 2
69.48 deg, I 8.9, hkl 3 1 3

Please write out number 3 again, unchanged.
This entry pairs a crystal structure of SrIn8Ag4 with its theoretical powder XRD pattern. Radiation: CuKα. Structure: a structure optimized by DFT (GGA-PBE).

Atomic structure:
Cell lengths 10.249, 10.249, 5.890 Å; angles 90.00, 90.00, 90.00 degrees
Space group I4/mmm (No. 139)
Symmetry-distinct sites (fractional):
Sr (0.000, 0.000, 0.000) (multiplicity 2)
In (0.000, 0.215, 0.500) (multiplicity 8)
In (0.000, 0.348, 0.000) (multiplicity 8)
Ag (0.250, 0.250, 0.250) (multiplicity 8)

Peak list (12 most intense, 2θ from 10° to 90°, sorted by position)
17.33 deg, I 13.1, hkl 2 0 0
30.24 deg, I 26.5, hkl 3 0 1
30.35 deg, I 10.3, hkl 0 0 2
35.04 deg, I 100.0, hkl 4 0 0
35.15 deg, I 43.6, hkl 2 0 2
39.33 deg, I 51.7, hkl 4 2 0
39.43 deg, I 54.0, hkl 2 2 2
57.01 deg, I 14.1, hkl 3 2 3
59.90 deg, I 10.5, hkl 5 4 1
62.87 deg, I 34.5, hkl 6 0 2
74.04 deg, I 12.3, hkl 8 0 0
74.29 deg, I 8.4, hkl 4 0 4